# LiF
Simulated PXRD pattern, CuKα. Input: a PBE-relaxed structure.
Intensities are scaled so that the largest is 100.

Crystal structure
a = 3.1395 Å, b = 3.1395 Å, c = 4.9464 Å
α = 90.00°, β = 90.00°, γ = 120.00°
Space group P6_3mc (No. 186)
Symmetry-distinct sites (fractional):
Li 0.3333 0.6667 0.0000
F 0.3333 0.6667 0.6146

Main lines, low angle first (2θ from 15° to 90°):
2θ (°), intensity
32.9, 59.9
36.3, 42.3
37.8, 100.0
49.8, 21.5
58.8, 33.5
66.3, 26.6
69.1, 4.5
71.1, 21.8
72.0, 7.9
80.6, 3.4